No. 1
Theoretical powder diffraction line list
Compound: HfSc3Si8
Radiation: copper Kα
Structure: a cell relaxed with PBE

Structure:
Cell lengths 3.674, 3.734, 14.600 Å; angles 90.00, 90.00, 90.00 degrees
Space group Pmm2 (No. 25)
Inequivalent atoms, fractional coordinates:
Hf 0.000 0.000 0.000 x1
Sc 0.000 0.500 0.499 x1
Sc 0.500 0.000 0.794 x1
Sc 0.500 0.500 0.292 x1
Si 0.000 0.000 0.344 x1
Si 0.000 0.000 0.645 x1
Si 0.000 0.500 0.145 x1
Si 0.000 0.500 0.841 x1
Si 0.500 0.000 0.146 x1
Si 0.500 0.000 0.449 x1
Si 0.500 0.500 0.646 x1
Si 0.500 0.500 0.949 x1

Top 10 peaks for 5° ≤ 2θ ≤ 70°, in order of falling intensity:
- d 14.600, 6.05°, rel. 100, (0 0 1)
- d 2.306, 39.06°, rel. 89, (1 1 3)
- d 7.300, 12.12°, rel. 28, (0 0 2)
- d 3.282, 27.17°, rel. 25, (1 0 2)
- d 2.962, 30.17°, rel. 17, (0 1 3)
- d 2.433, 36.94°, rel. 16, (0 0 6)
- d 2.300, 39.17°, rel. 16, (0 1 5)
- d 3.617, 24.61°, rel. 15, (0 1 1)
- d 1.867, 48.78°, rel. 13, (0 2 0)
- d 2.029, 44.67°, rel. 13, (1 0 6)

---

No. 2
Theoretical powder diffraction line list
Compound: Hf2Se
Radiation: copper Kα
Structure: a cell relaxed with PBE

Structure:
Cell lengths 3.4498, 3.4498, 12.2710 Å; angles 90.00, 90.00, 120.00 degrees
Space group P6_3/mmc (No. 194)
Inequivalent atoms, fractional coordinates:
Hf 0.3333 0.6667 0.0938 x4
Se 0.0000 0.0000 0.2500 x2

Top 10 peaks for 5° ≤ 2θ ≤ 70°, in order of falling intensity:
- d 2.413, 37.27°, rel. 100, (1 0 3)
- d 2.903, 30.80°, rel. 53, (1 0 1)
- d 1.725, 53.09°, rel. 38, (1 1 0)
- d 2.140, 42.22°, rel. 33, (1 0 4)
- d 2.686, 33.36°, rel. 33, (1 0 2)
- d 2.045, 44.29°, rel. 19, (0 0 6)
- d 1.403, 66.65°, rel. 19, (2 0 3)
- d 1.512, 61.31°, rel. 17, (1 0 7)
- d 3.068, 29.11°, rel. 10, (0 0 4)
- d 2.988, 29.91°, rel. 9, (1 0 0)

---

No. 3
Theoretical powder diffraction line list
Compound: Hf23Se25
Radiation: copper Kα
Structure: a cell relaxed with PBE

Structure:
Cell lengths 7.940, 8.017, 15.850 Å; angles 98.13, 90.21, 102.08 degrees
Space group P1 (No. 1)
Inequivalent atoms, fractional coordinates:
Hf 0.000 0.000 0.000 x1
Hf 0.027 0.191 0.648 x1
Hf 0.073 0.396 0.282 x1
Hf 0.114 0.597 0.921 x1
Hf 0.157 0.796 0.564 x1
Hf 0.229 0.192 0.844 x1
Hf 0.280 0.399 0.478 x1
Hf 0.311 0.594 0.123 x1
Hf 0.354 0.795 0.761 x1
Hf 0.402 0.003 0.404 x1
Hf 0.432 0.195 0.039 x1
Hf 0.515 0.595 0.323 x1
Hf 0.554 0.797 0.962 x1
Hf 0.591 0.994 0.603 x1
Hf 0.639 0.192 0.246 x1
Hf 0.678 0.399 0.884 x1
Hf 0.713 0.596 0.520 x1
Hf 0.746 0.791 0.167 x1
Hf 0.796 0.996 0.803 x1
Hf 0.830 0.194 0.441 x1
Hf 0.878 0.397 0.085 x1
Hf 0.918 0.591 0.727 x1
Hf 0.948 0.792 0.363 x1
Se 0.030 0.666 0.203 x1
Se 0.068 0.861 0.842 x1
Se 0.109 0.065 0.484 x1
Se 0.149 0.259 0.125 x1
Se 0.195 0.462 0.762 x1
Se 0.227 0.668 0.402 x1
Se 0.268 0.861 0.045 x1
Se 0.309 0.066 0.683 x1
Se 0.344 0.260 0.320 x1
Se 0.388 0.463 0.961 x1
Se 0.428 0.659 0.604 x1
Se 0.460 0.861 0.242 x1
Se 0.508 0.065 0.881 x1
Se 0.548 0.264 0.526 x1
Se 0.585 0.455 0.162 x1
Se 0.625 0.662 0.802 x1
Se 0.667 0.863 0.443 x1
Se 0.708 0.061 0.084 x1
Se 0.740 0.261 0.722 x1
Se 0.788 0.461 0.362 x1
Se 0.829 0.668 0.006 x1
Se 0.866 0.855 0.643 x1
Se 0.914 0.063 0.282 x1
Se 0.947 0.265 0.924 x1
Se 0.989 0.460 0.564 x1

Top 10 peaks for 5° ≤ 2θ ≤ 70°, in order of falling intensity:
- d 2.333, 38.59°, rel. 100, (1 2 4)
- d 3.066, 29.12°, rel. 45, (2 0 3)
- d 1.770, 51.63°, rel. 27, (4 1 1)
- d 1.410, 66.27°, rel. 20, (3 2 7)
- d 1.551, 59.60°, rel. 12, (0 4 5)
- d 1.798, 50.77°, rel. 10, (-2 4 2)
- d 3.597, 24.75°, rel. 8, (-1 2 1)
- d 1.533, 60.38°, rel. 6, (4 0 6)
- d 1.588, 58.08°, rel. 5, (3 3 2)
- d 7.841, 11.29°, rel. 1, (0 0 2)

---

No. 4
Theoretical powder diffraction line list
Compound: HfSe2
Radiation: copper Kα
Structure: a cell relaxed with PBE

Structure:
Cell lengths 3.7735, 3.7735, 6.9285 Å; angles 90.00, 90.00, 120.00 degrees
Space group P-3m1 (No. 164)
Inequivalent atoms, fractional coordinates:
Hf 0.0000 0.0000 0.0000 x1
Se 0.3333 0.6667 0.2273 x2

Top 10 peaks for 5° ≤ 2θ ≤ 70°, in order of falling intensity:
- d 6.929, 12.78°, rel. 100, (0 0 1)
- d 2.956, 30.24°, rel. 93, (0 1 1)
- d 2.377, 37.85°, rel. 72, (0 1 2)
- d 1.886, 48.24°, rel. 64, (1 1 0)
- d 1.820, 50.11°, rel. 20, (1 1 1)
- d 1.478, 62.89°, rel. 16, (2 0 2)
- d 1.590, 57.99°, rel. 15, (2 0 1)
- d 3.268, 27.29°, rel. 12, (1 0 0)
- d 1.732, 52.86°, rel. 7, (0 0 4)
- d 1.530, 60.49°, rel. 5, (1 0 4)

---

No. 5
Theoretical powder diffraction line list
Compound: HfTe2Se6
Radiation: copper Kα
Structure: a cell relaxed with PBE

Structure:
Cell lengths 6.158, 11.985, 8.765 Å; angles 90.00, 113.14, 90.00 degrees
Space group P2_1/c (No. 14)
Inequivalent atoms, fractional coordinates:
Hf 0.000 0.000 0.000 x2
Te 0.391 0.186 0.723 x4
Se 0.034 0.076 0.722 x4
Se 0.285 0.669 0.491 x4
Se 0.312 0.101 0.264 x4

Top 10 peaks for 5° ≤ 2θ ≤ 70°, in order of falling intensity:
- d 4.116, 21.59°, rel. 100, (1 2 0)
- d 6.688, 13.24°, rel. 76, (0 1 1)
- d 3.914, 22.72°, rel. 65, (1 1 -2)
- d 2.733, 32.77°, rel. 63, (1 1 2)
- d 2.665, 33.62°, rel. 54, (1 4 -1)
- d 2.622, 34.19°, rel. 51, (0 1 3)
- d 2.052, 44.14°, rel. 46, (2 3 1)
- d 3.299, 27.03°, rel. 44, (1 3 -1)
- d 1.889, 48.17°, rel. 34, (3 0 0)
- d 5.247, 16.90°, rel. 33, (1 1 -1)

---

No. 6
Theoretical powder diffraction line list
Compound: Hf9W4Se
Radiation: copper Kα
Structure: a cell relaxed with PBE

Structure:
Cell lengths 8.7471, 8.7471, 8.6562 Å; angles 90.00, 90.00, 120.00 degrees
Space group P6_3/mmc (No. 194)
Inequivalent atoms, fractional coordinates:
Hf 0.0851 0.5426 0.2500 x6
Hf 0.1933 0.3866 0.5477 x12
W 0.0000 0.0000 0.0000 x2
W 0.1101 0.2202 0.2500 x6
Se 0.3333 0.6667 0.7500 x2

Top 10 peaks for 5° ≤ 2θ ≤ 70°, in order of falling intensity:
- d 2.388, 37.67°, rel. 100, (2 1 2)
- d 2.424, 37.09°, rel. 65, (3 0 1)
- d 2.295, 39.25°, rel. 44, (2 0 3)
- d 2.187, 41.29°, rel. 27, (2 2 0)
- d 7.575, 11.68°, rel. 25, (1 0 0)
- d 1.428, 65.36°, rel. 25, (3 0 5)
- d 1.430, 65.25°, rel. 24, (5 0 2)
- d 1.489, 62.38°, rel. 20, (3 2 3)
- d 2.164, 41.74°, rel. 19, (0 0 4)
- d 2.696, 33.23°, rel. 19, (1 0 3)

---

No. 7
Theoretical powder diffraction line list
Compound: HfSi
Radiation: copper Kα
Structure: a cell relaxed with PBE

Structure:
Cell lengths 6.913, 3.785, 5.253 Å; angles 90.00, 90.00, 90.00 degrees
Space group Pnma (No. 62)
Inequivalent atoms, fractional coordinates:
Hf 0.175 0.250 0.126 x4
Si 0.044 0.250 0.640 x4

Top 10 peaks for 5° ≤ 2θ ≤ 70°, in order of falling intensity:
- d 2.806, 31.89°, rel. 100, (1 1 1)
- d 2.552, 35.16°, rel. 86, (2 1 0)
- d 2.455, 36.60°, rel. 84, (1 0 2)
- d 3.071, 29.08°, rel. 59, (0 1 1)
- d 2.296, 39.24°, rel. 44, (2 1 1)
- d 2.060, 43.96°, rel. 42, (1 1 2)
- d 1.575, 58.61°, rel. 39, (3 1 2)
- d 2.888, 30.97°, rel. 38, (2 0 1)
- d 1.499, 61.91°, rel. 37, (1 2 2)
- d 2.110, 42.85°, rel. 36, (3 0 1)

---

No. 8
Theoretical powder diffraction line list
Compound: HfTaSi
Radiation: copper Kα
Structure: a cell relaxed with PBE

Structure:
Cell lengths 8.694, 5.442, 9.098 Å; angles 90.00, 90.00, 90.00 degrees
Space group Amm2 (No. 38)
Inequivalent atoms, fractional coordinates:
Hf 0.182 0.000 0.000 x4
Hf 0.303 0.000 0.664 x4
Ta 0.000 0.000 0.496 x2
Ta 0.500 0.000 0.163 x2
Ta 0.500 0.244 0.917 x4
Si 0.000 0.236 0.744 x4
Si 0.250 0.000 0.335 x4

Top 10 peaks for 5° ≤ 2θ ≤ 70°, in order of falling intensity:
- d 2.463, 36.49°, rel. 100, (3 1 1)
- d 2.262, 39.85°, rel. 88, (2 1 3)
- d 2.255, 39.98°, rel. 84, (1 2 2)
- d 8.694, 10.17°, rel. 45, (1 0 0)
- d 2.200, 41.02°, rel. 38, (1 0 4)
- d 1.395, 67.11°, rel. 35, (5 2 2)
- d 3.182, 28.04°, rel. 33, (2 1 1)
- d 2.335, 38.55°, rel. 30, (0 2 2)
- d 1.516, 61.12°, rel. 24, (3 3 1)
- d 2.444, 36.77°, rel. 24, (3 0 2)

---

No. 9
Theoretical powder diffraction line list
Compound: Tb2Hf3Si4
Radiation: copper Kα
Structure: a cell relaxed with PBE

Structure:
Cell lengths 7.298, 7.298, 13.408 Å; angles 90.00, 90.00, 90.00 degrees
Space group P4_12_12 (No. 92)
Inequivalent atoms, fractional coordinates:
Tb 0.003 0.343 0.035 x8
Hf 0.005 0.150 0.625 x8
Hf 0.174 0.826 0.750 x4
Si 0.048 0.705 0.935 x8
Si 0.136 0.205 0.817 x8

Top 10 peaks for 5° ≤ 2θ ≤ 70°, in order of falling intensity:
- d 2.534, 35.43°, rel. 100, (2 2 1)
- d 2.380, 37.81°, rel. 76, (1 1 5)
- d 2.636, 34.01°, rel. 69, (2 1 3)
- d 2.287, 39.40°, rel. 69, (3 0 2)
- d 3.205, 27.84°, rel. 48, (2 0 2)
- d 1.605, 57.40°, rel. 44, (3 1 6)
- d 3.378, 26.38°, rel. 40, (1 1 3)
- d 2.811, 31.83°, rel. 37, (1 1 4)
- d 1.530, 60.50°, rel. 36, (3 3 4)
- d 3.171, 28.14°, rel. 33, (2 1 1)

---

No. 10
Theoretical powder diffraction line list
Compound: Hf2SiTe2
Radiation: copper Kα
Structure: a cell relaxed with PBE

Structure:
Cell lengths 3.020, 3.020, 14.975 Å; angles 90.00, 90.00, 90.00 degrees
Space group P4/mmm (No. 123)
Inequivalent atoms, fractional coordinates:
Hf 0.000 0.000 0.177 x2
Si 0.000 0.000 0.000 x1
Te 0.000 0.000 0.372 x2

Top 10 peaks for 5° ≤ 2θ ≤ 70°, in order of falling intensity:
- d 3.020, 29.58°, rel. 100, (1 0 0)
- d 2.136, 42.32°, rel. 39, (1 1 0)
- d 7.487, 11.82°, rel. 38, (0 0 2)
- d 2.127, 42.51°, rel. 38, (1 0 5)
- d 2.351, 38.29°, rel. 25, (1 0 4)
- d 2.995, 29.83°, rel. 25, (0 0 5)
- d 3.744, 23.77°, rel. 21, (0 0 4)
- d 1.924, 47.24°, rel. 21, (1 0 6)
- d 1.739, 52.63°, rel. 20, (1 1 5)
- d 1.351, 69.60°, rel. 17, (2 1 0)

---

No. 11
Theoretical powder diffraction line list
Compound: Hf2VSi2
Radiation: copper Kα
Structure: a cell relaxed with PBE

Structure:
Cell lengths 2.748, 2.748, 13.345 Å; angles 90.00, 90.00, 90.00 degrees
Space group P4/mmm (No. 123)
Inequivalent atoms, fractional coordinates:
Hf 0.000 0.000 0.121 x2
V 0.000 0.000 0.500 x1
Si 0.000 0.000 0.316 x2

Top 10 peaks for 5° ≤ 2θ ≤ 70°, in order of falling intensity:
- d 13.345, 6.62°, rel. 100, (0 0 1)
- d 2.748, 32.59°, rel. 40, (1 0 0)
- d 1.914, 47.49°, rel. 19, (1 0 5)
- d 2.121, 42.63°, rel. 17, (1 0 4)
- d 4.448, 19.96°, rel. 16, (0 0 3)
- d 1.943, 46.75°, rel. 14, (1 1 0)
- d 3.336, 26.72°, rel. 14, (0 0 4)
- d 2.669, 33.58°, rel. 12, (0 0 5)
- d 2.338, 38.51°, rel. 12, (1 0 3)
- d 2.691, 33.29°, rel. 12, (1 0 1)

---

No. 12
Theoretical powder diffraction line list
Compound: HfSiW
Radiation: copper Kα
Structure: a cell relaxed with PBE

Structure:
Cell lengths 6.945, 3.527, 8.196 Å; angles 90.00, 90.00, 90.00 degrees
Space group Pnma (No. 62)
Inequivalent atoms, fractional coordinates:
Hf 0.042 0.250 0.167 x4
Si 0.244 0.750 0.362 x4
W 0.134 0.250 0.562 x4

Top 10 peaks for 5° ≤ 2θ ≤ 70°, in order of falling intensity:
- d 2.495, 36.00°, rel. 100, (1 1 2)
- d 2.474, 36.31°, rel. 64, (2 1 0)
- d 2.542, 35.30°, rel. 46, (1 0 3)
- d 2.369, 37.98°, rel. 42, (2 1 1)
- d 2.228, 40.49°, rel. 27, (3 0 1)
- d 1.764, 51.84°, rel. 27, (0 2 0)
- d 3.529, 25.23°, rel. 25, (1 0 2)
- d 2.016, 44.98°, rel. 22, (3 0 2)
- d 2.160, 41.83°, rel. 21, (0 1 3)
- d 1.407, 66.45°, rel. 21, (3 1 4)